Entry 1:
The following is a computed PXRD pattern of Mg5ZnI12. It was derived from a GGA-PBE-relaxed structure, using CuKα.

Principal peaks in the range 2θ from 15° to 90°, in order of falling intensity:
d/Å  intensity
3.285  100
2.971  46
3.528  36
3.897  32
2.072  32
2.653  25
2.363  23
2.111  22
1.710  19
1.736  15

Structural model:
Unit cell a=7.245 b=7.245 c=15.588 alpha=90.01 beta=90.01 gamma=120.03
Positions (direct):
Mg: 0.000 0.000 0.000
Mg: 0.167 0.833 0.500
Mg: 0.333 0.667 0.000
Mg: 0.667 0.333 0.000
Mg: 0.833 0.167 0.500
Zn: 0.500 0.500 0.500
I: 0.000 0.333 0.892
I: 0.000 0.667 0.108
I: 0.172 0.500 0.394
I: 0.173 0.173 0.606
I: 0.333 0.000 0.892
I: 0.333 0.333 0.108
I: 0.500 0.172 0.394
I: 0.500 0.828 0.606
I: 0.667 0.000 0.108
I: 0.667 0.667 0.892
I: 0.827 0.827 0.394
I: 0.828 0.500 0.606

Entry 2:
The following is a computed PXRD pattern of MnI4. It was derived from a GGA-PBE-relaxed structure, using CuKα.

Principal peaks in the range 2θ from 15° to 90°, in order of falling intensity:
d/Å  intensity
4.186  100
3.145  96
2.204  50
2.377  31
3.353  28
3.369  25
1.764  22
1.893  20
2.919  17
1.843  14

Structural model:
Unit cell a=7.527 b=7.527 c=11.678 alpha=90.00 beta=90.00 gamma=127.09
Positions (direct):
Mn: 0.250 0.750 0.750
Mn: 0.750 0.250 0.250
I: 0.093 0.376 0.140
I: 0.124 0.407 0.640
I: 0.376 0.093 0.640
I: 0.407 0.124 0.140
I: 0.593 0.876 0.860
I: 0.624 0.907 0.360
I: 0.876 0.593 0.360
I: 0.907 0.624 0.860